The following is a calculated powder X-ray diffraction pattern of Ca3B6O20. It was derived from the PBE geometry in the Materials Project, using Cu Ka.
Kinematic intensities with the Lorentz-polarization factor, no thermal factor.

Top 12 peaks for 2θ from 5° to 70°, sorted by position:
| two_theta | intensity |
| --- | --- |
| 11.90 | 100 |
| 14.92 | 30 |
| 16.00 | 91 |
| 22.26 | 36 |
| 22.59 | 79 |
| 23.66 | 67 |
| 30.07 | 33 |
| 31.75 | 61 |
| 35.86 | 33 |
| 36.25 | 29 |
| 36.79 | 28 |
| 47.49 | 36 |

Structure:
```
Ca3B6O20
1.0
6.7274 -4.8547 0.0000
6.7274 4.8547 0.0000
-6.3694 0.0000 11.8938
Ca B O
6 12 40
Direct
0.0100 0.9900 0.7500
0.2992 0.6337 0.0639
0.3663 0.7008 0.4361
0.6337 0.2992 0.5639
0.7008 0.3663 0.9361
0.9900 0.0100 0.2500
0.0288 0.6039 0.1679
0.1054 0.2249 0.6774
0.2249 0.1054 0.1774
0.2753 0.4185 0.8296
0.3961 0.9712 0.3321
0.4185 0.2753 0.3296
0.5815 0.7247 0.6704
0.6039 0.0288 0.6679
0.7247 0.5815 0.1704
0.7751 0.8946 0.8226
0.8946 0.7751 0.3226
0.9712 0.3961 0.8321
0.0162 0.7341 0.1161
0.0479 0.1437 0.1441
0.0584 0.6983 0.2946
0.0606 0.6672 0.5982
0.0799 0.6941 0.5202
0.1273 0.4792 0.8800
0.1437 0.0479 0.6441
0.1928 0.4993 0.1472
0.2158 0.3424 0.7071
0.2659 0.9838 0.3839
0.2849 0.4092 0.3807
0.3017 0.9416 0.2054
0.3059 0.9201 0.9798
0.3328 0.9394 0.9018
0.3424 0.2158 0.2071
0.3952 0.5401 0.8815
0.4092 0.2849 0.8807
0.4599 0.6048 0.6185
0.4792 0.1273 0.3800
0.4993 0.1928 0.6472
0.5007 0.8072 0.3528
0.5208 0.8727 0.6200
0.5401 0.3952 0.3815
0.5908 0.7151 0.1193
0.6048 0.4599 0.1185
0.6576 0.7842 0.7929
0.6672 0.0606 0.0982
0.6941 0.0799 0.0202
0.6983 0.0584 0.7946
0.7151 0.5908 0.6193
0.7341 0.0162 0.6161
0.7842 0.6576 0.2929
0.8072 0.5007 0.8528
0.8563 0.9521 0.3559
0.8727 0.5208 0.1200
0.9201 0.3059 0.4798
0.9394 0.3328 0.4018
0.9416 0.3017 0.7054
0.9521 0.8563 0.8559
0.9838 0.2659 0.8839
```


The following is a calculated powder X-ray diffraction pattern of CaB3O10. It was derived from the PBE geometry in the Materials Project, using Cu Ka.
Kinematic intensities with the Lorentz-polarization factor, no thermal factor.

Top 12 peaks for 2θ from 5° to 70°, sorted by position:
| two_theta | intensity |
| --- | --- |
| 9.69 | 100 |
| 16.46 | 13 |
| 20.92 | 18 |
| 22.08 | 10 |
| 24.66 | 16 |
| 28.08 | 11 |
| 28.52 | 10 |
| 29.36 | 13 |
| 29.57 | 11 |
| 29.76 | 12 |
| 30.36 | 21 |
| 43.85 | 14 |

Structure:
```
CaB3O10
1.0
5.7492 0.0000 0.0000
0.7684 6.4086 0.0000
2.7557 2.0128 9.1248
Ca B O
2 6 20
Direct
0.2363 0.1742 0.1225
0.7637 0.8258 0.8775
0.2300 0.6762 0.1346
0.3295 0.4807 0.3601
0.4449 0.1896 0.7771
0.5551 0.8104 0.2229
0.6705 0.5193 0.6399
0.7700 0.3238 0.8654
0.0141 0.8282 0.1684
0.0238 0.0782 0.4501
0.1886 0.2300 0.8699
0.1957 0.7141 0.8803
0.2287 0.5810 0.0021
0.2306 0.4785 0.2430
0.2700 0.3207 0.4820
0.4323 0.8028 0.1021
0.4757 0.6405 0.3502
0.4856 0.9838 0.7462
0.5144 0.0162 0.2538
0.5243 0.3595 0.6498
0.5677 0.1972 0.8979
0.7300 0.6793 0.5180
0.7694 0.5215 0.7570
0.7713 0.4190 0.9979
0.8043 0.2859 0.1197
0.8114 0.7700 0.1301
0.9762 0.9218 0.5499
0.9859 0.1718 0.8316
```


The following is a calculated powder X-ray diffraction pattern of CaB2O10. It was derived from the PBE geometry in the Materials Project, using Cu Ka.
Kinematic intensities with the Lorentz-polarization factor, no thermal factor.

Top 12 peaks for 2θ from 5° to 70°, sorted by position:
| two_theta | intensity |
| --- | --- |
| 13.96 | 34 |
| 14.89 | 69 |
| 24.75 | 57 |
| 24.86 | 57 |
| 27.72 | 34 |
| 28.69 | 35 |
| 30.59 | 54 |
| 33.24 | 33 |
| 34.01 | 100 |
| 34.84 | 64 |
| 39.42 | 40 |
| 43.65 | 36 |

Structure:
```
CaB2O10
1.0
6.5804 -3.3692 0.0000
6.5804 3.3692 0.0000
-2.2944 0.0000 8.2927
Ca B O
2 4 20
Direct
0.0581 0.9419 0.7500
0.9419 0.0581 0.2500
0.2423 0.5680 0.0335
0.4320 0.7577 0.4665
0.5680 0.2423 0.5335
0.7577 0.4320 0.9665
0.0113 0.7465 0.0578
0.0260 0.4374 0.6838
0.0789 0.5726 0.7330
0.1934 0.7870 0.0268
0.2130 0.8066 0.4732
0.2535 0.9887 0.4422
0.3596 0.3879 0.5205
0.3879 0.3596 0.0205
0.4274 0.9211 0.7670
0.4374 0.0260 0.1838
0.5626 0.9740 0.8162
0.5726 0.0789 0.2330
0.6121 0.6404 0.9795
0.6404 0.6121 0.4795
0.7465 0.0113 0.5578
0.7870 0.1934 0.5268
0.8066 0.2130 0.9732
0.9211 0.4274 0.2670
0.9740 0.5626 0.3162
0.9887 0.2535 0.9422
```


Question: What is the formula in the first record?
Answer: Ca3B6O20